This entry pairs a crystal structure of Be2As2Au with its simulated X-ray powder pattern. Radiation: Cu Kα (weighted mean of Kα1 and Kα2). Structure: DFT lattice parameters and positions (PBE).
Lines closer than 0.1° are merged.

Most intense lines, 5° ≤ 2θ ≤ 70°, sorted by position:
- 20.50 deg, intensity 35
- 30.18 deg, intensity 51
- 30.49 deg, intensity 100
- 37.44 deg, intensity 63
- 44.63 deg, intensity 38
- 45.46 deg, intensity 36
- 48.82 deg, intensity 31
- 69.81 deg, intensity 20

Cell and atoms:
a b c (Å): 8.688 6.715 6.304
angles (deg): 83.67 50.18 46.15
Fractional positions:
Be 0.025 0.225 0.025
Be 0.225 0.025 0.225
Be 0.775 0.975 0.775
Be 0.975 0.775 0.975
As 0.040 0.040 0.710
As 0.290 0.290 0.960
As 0.710 0.710 0.040
As 0.960 0.960 0.290
Au 0.375 0.375 0.375
Au 0.625 0.625 0.625